For Tb2SmDy2Mg, DFT lattice parameters and positions (GGA-PBE) gives the simulated powder X-ray diffraction pattern in this record (Cu Kα).
Peak positions follow from Bragg's law for the DFT cell and can differ from measured ones.

Peak list (10 most intense, 2θ = 5–70°, by intensity)
Position (°2θ)	Rel. int.
35.16	1000
30.84	969
28.93	935
32.53	760
29.27	642
28.75	470
43.96	297
41.94	283
54.06	271
56.88	270

Atomic structure:
Lattice parameters (Å, degrees): 9.885 9.885 9.885 158.63 147.67 39.09
Atoms (fractional coordinates):
Tb  0.184  0.184  0.000
Tb  0.816  0.816  0.000
Sm  0.000  0.500  0.500
Dy  0.365  0.365  0.000
Dy  0.635  0.635  0.000
Mg  0.500  0.000  0.500



For Tb6SmDy2Mg, DFT lattice parameters and positions (GGA-PBE) gives the simulated powder X-ray diffraction pattern in this record (Cu Kα).
Peak positions follow from Bragg's law for the DFT cell and can differ from measured ones.

Peak list (10 most intense, 2θ = 5–70°, by intensity)
Position (°2θ)	Rel. int.
33.08	1000
31.66	740
32.64	521
27.52	353
33.55	338
31.80	287
55.98	218
28.91	208
28.85	178
46.60	175

Atomic structure:
Lattice parameters (Å, degrees): 10.923 10.923 6.605 94.07 94.07 125.53
Atoms (fractional coordinates):
Tb  0.080  0.790  0.967
Tb  0.085  0.566  0.281
Tb  0.210  0.920  0.533
Tb  0.306  0.475  0.021
Tb  0.434  0.915  0.219
Tb  0.475  0.306  0.521
Tb  0.525  0.694  0.479
Tb  0.566  0.085  0.781
Tb  0.694  0.525  0.979
Tb  0.790  0.080  0.467
Tb  0.915  0.434  0.719
Tb  0.920  0.210  0.033
Sm  0.009  0.991  0.250
Sm  0.991  0.009  0.750
Dy  0.178  0.346  0.505
Dy  0.346  0.178  0.005
Dy  0.654  0.822  0.995
Dy  0.822  0.654  0.495
Mg  0.293  0.707  0.750
Mg  0.707  0.293  0.250